Entry 1:
Diffraction record for LiFe2B2O6. The X-ray diffraction stick pattern is computed, not measured: it uses the PBE+U geometry in the Materials Project and λ = 1.5418 Å (Cu Kα).
Kinematic intensities with the Lorentz-polarization factor, no thermal factor.

Atomic structure:
Lattice parameters (Å, degrees): 5.208 9.119 11.417 67.03 77.47 89.76
Element x y z (fractional)
Li (0.000, 0.000, 0.000)
Li (0.048, 0.027, 0.272)
Li (0.284, 0.287, 0.750)
Li (0.730, 0.754, 0.530)
Fe (0.011, 0.671, 0.986)
Fe (0.044, 0.382, 0.246)
Fe (0.254, 0.586, 0.482)
Fe (0.279, 0.960, 0.737)
Fe (0.497, 0.183, 0.001)
Fe (0.560, 0.868, 0.237)
Fe (0.769, 0.099, 0.497)
Fe (0.786, 0.464, 0.758)
B (0.064, 0.719, 0.231)
B (0.260, 0.913, 0.490)
B (0.292, 0.623, 0.742)
B (0.513, 0.843, 0.987)
B (0.540, 0.209, 0.247)
B (0.752, 0.434, 0.491)
B (0.789, 0.140, 0.746)
B (0.997, 0.341, 0.994)
O (0.006, 0.928, 0.470)
O (0.041, 0.124, 0.764)
O (0.084, 0.443, 0.045)
O (0.127, 0.213, 0.988)
O (0.145, 0.718, 0.794)
O (0.167, 0.517, 0.705)
O (0.262, 0.854, 0.957)
O (0.274, 0.684, 0.292)
O (0.380, 0.005, 0.536)
O (0.389, 0.328, 0.255)
O (0.409, 0.794, 0.461)
O (0.446, 0.094, 0.210)
O (0.485, 0.427, 0.510)
O (0.561, 0.629, 0.722)
O (0.600, 0.956, 0.028)
O (0.640, 0.257, 0.778)
O (0.666, 0.725, 0.979)
O (0.669, 0.051, 0.697)
O (0.770, 0.375, 0.946)
O (0.795, 0.198, 0.274)
O (0.875, 0.535, 0.534)
O (0.900, 0.341, 0.436)
O (0.947, 0.859, 0.216)
O (0.978, 0.611, 0.186)

Principal peaks in the range 5 to 70 degrees two-theta, by intensity:
(hkl)  two_theta  I/Imax
0 0 4  35.1  1000
1 -1 0  19.7  949
1 1 2  21.6  759
0 2 2  21.4  716
1 1 -1  26.0  696
2 0 1  34.4  364

---

Entry 2:
Diffraction record for LiFe2B2O6. The X-ray diffraction stick pattern is computed, not measured: it uses the PBE+U geometry in the Materials Project and λ = 1.5418 Å (Cu Kα).
Kinematic intensities with the Lorentz-polarization factor, no thermal factor.

Atomic structure:
Lattice parameters (Å, degrees): 5.279 9.055 11.395 113.23 102.28 90.36
Element x y z (fractional)
Li (0.000, 0.000, 0.000)
Li (0.003, 0.694, 0.715)
Li (0.493, 0.193, 0.707)
Li (0.783, 0.457, 0.212)
Fe (0.003, 0.657, 0.993)
Fe (0.018, 0.042, 0.746)
Fe (0.261, 0.582, 0.494)
Fe (0.305, 0.640, 0.243)
Fe (0.495, 0.169, 0.987)
Fe (0.519, 0.541, 0.748)
Fe (0.758, 0.079, 0.494)
Fe (0.773, 0.128, 0.242)
B (0.003, 0.335, 0.001)
B (0.028, 0.375, 0.744)
B (0.253, 0.919, 0.501)
B (0.273, 0.296, 0.244)
B (0.500, 0.833, 0.995)
B (0.533, 0.878, 0.745)
B (0.753, 0.416, 0.497)
B (0.806, 0.791, 0.243)
O (0.018, 0.951, 0.539)
O (0.019, 0.770, 0.187)
O (0.106, 0.187, 0.954)
O (0.108, 0.162, 0.214)
O (0.155, 0.479, 0.027)
O (0.187, 0.451, 0.294)
O (0.236, 0.822, 0.987)
O (0.283, 0.366, 0.741)
O (0.312, 0.761, 0.448)
O (0.367, 0.733, 0.698)
O (0.423, 0.044, 0.517)
O (0.424, 0.025, 0.779)
O (0.519, 0.446, 0.534)
O (0.524, 0.284, 0.218)
O (0.635, 0.700, 0.951)
O (0.642, 0.989, 0.045)
O (0.677, 0.668, 0.251)
O (0.728, 0.950, 0.295)
O (0.763, 0.346, 0.026)
O (0.798, 0.874, 0.763)
O (0.810, 0.255, 0.439)
O (0.856, 0.233, 0.697)
O (0.924, 0.526, 0.790)
O (0.929, 0.541, 0.521)

Principal peaks in the range 5 to 70 degrees two-theta, by intensity:
(hkl)  two_theta  I/Imax
1 1 -1  19.5  1000
0 0 4  35.3  984
0 2 0  21.4  980
0 2 -3  26.4  873
2 0 -1  34.0  390
0 4 -3  40.8  381